Starting from a DFT-relaxed cell (GGA+U, Alexandria), the powder XRD pattern of Tl2CrF5 was calculated for CuKα.

a = 6.3652 Å, b = 6.3652 Å, c = 3.9525 Å
α = 90.00°, β = 90.00°, γ = 90.00°
Sites, in units of the cell vectors:
Tl  0.0000  0.5000  0.0000
Tl  0.5000  0.0000  0.0000
Cr  0.0000  0.0000  0.5000
F  0.0000  0.0000  0.0000
F  0.2152  0.2152  0.5000
F  0.2152  0.7848  0.5000
F  0.7848  0.2152  0.5000
F  0.7848  0.7848  0.5000

Principal peaks in the range 2θ = 5–70°, by angle:
| 2theta | I_rel |
| --- | --- |
| 19.72 | 73 |
| 22.50 | 21 |
| 28.04 | 50 |
| 30.09 | 100 |
| 36.24 | 61 |
| 40.07 | 35 |
| 45.04 | 20 |
| 50.91 | 44 |
| 54.67 | 16 |
| 62.55 | 18 |